For Al3Te3Br, the PBE geometry in the Materials Project gives the computed powder diffractogram in this record (Cu Kα (weighted mean of Kα1 and Kα2)).
Peak positions follow from Bragg's law for the DFT cell and can differ from measured ones.

Structural model:
Cell lengths 11.233, 4.142, 20.229 Å; angles 90.00, 90.00, 90.00 degrees
Space group Pnma (No. 62)
One atom of each set of equivalent atoms:
Al (0.049, 0.250, 0.100) (multiplicity 4)
Al (0.160, 0.250, 0.633) (multiplicity 4)
Al (0.169, 0.250, 0.993) (multiplicity 4)
Te (0.094, 0.250, 0.867) (multiplicity 4)
Te (0.175, 0.250, 0.501) (multiplicity 4)
Te (0.228, 0.250, 0.190) (multiplicity 4)
Br (0.037, 0.750, 0.334) (multiplicity 4)

Main lines, in order of rising 2θ (2θ from 10° to 90°):
- 3.807 Å, 23.37°, intensity 13, hkl 1 0 5
- 3.758 Å, 23.67°, intensity 24, hkl 2 0 4
- 3.511 Å, 25.36°, intensity 29, hkl 3 0 2
- 3.368 Å, 26.46°, intensity 100, hkl 0 0 6
- 3.334 Å, 26.74°, intensity 39, hkl 2 1 0
- 3.289 Å, 27.11°, intensity 37, hkl 2 1 1
- 3.273 Å, 27.24°, intensity 19, hkl 3 0 3
- 3.009 Å, 29.69°, intensity 15, hkl 3 0 4
- 2.071 Å, 43.71°, intensity 19, hkl 0 2 0
- 2.015 Å, 45.00°, intensity 16, hkl 2 1 8